Structure and theoretical PXRD pattern of DyErTm6 (a crystal structure in OQMD, relaxed with GGA-PBE; copper Kα).

The 10 most intense peaks (2θ = 5–70°), sorted by position:
2θ (°), I/Imax
29.02, 239
32.42, 239
33.34, 1000
44.06, 155
51.44, 198
58.41, 203
60.15, 31
62.13, 224
62.69, 164
67.87, 29

Cell and atoms:
Cell lengths 7.1051, 7.1051, 5.5239 Å; angles 90.00, 90.00, 120.00 degrees
Space group P-6m2 (No. 187)
Unique sites:
Dy  0.0000  0.0000  0.0000 x1
Er  0.3333  0.6667  0.5000 x1
Tm  0.3341  0.1671  0.5000 x3
Tm  0.5004  0.0008  0.0000 x3